(1)
Starting from a DFT-relaxed cell (GGA-PBE, the Materials Project), the X-ray powder pattern of Pr4OsI5 was simulated for a wavelength of 1.5418 Å.
Intensities are scaled so that the largest is 100.

The 6 most intense peaks (15 to 90 degrees two-theta), by angle:
2θ = 27.3°, intensity 45.8, hkl 6 0 0
2θ = 28.1°, intensity 100.0, hkl 1 1 -2
2θ = 38.4°, intensity 18.7, hkl 2 0 -4
2θ = 39.5°, intensity 32.8, hkl 5 1 2
2θ = 39.8°, intensity 31.1, hkl 7 1 -2
2θ = 41.9°, intensity 18.2, hkl 0 2 0

Cell and atoms:
Cell lengths 20.084, 4.309, 9.377 Å; angles 90.00, 103.01, 90.00 degrees
Space group C2/m (No. 12)
Inequivalent atoms, fractional coordinates:
Pr 0.000 0.000 0.209 (multiplicity 4)
Pr 0.139 0.500 0.072 (multiplicity 4)
Os 0.000 0.500 0.000 (multiplicity 2)
I 0.000 0.500 0.500 (multiplicity 2)
I 0.166 0.000 0.337 (multiplicity 4)
I 0.172 0.000 0.832 (multiplicity 4)

***

(2)
Starting from a DFT-relaxed cell (GGA-PBE, the Materials Project), the X-ray powder pattern of CsInO2 was simulated for a wavelength of 1.5418 Å.
Intensities are scaled so that the largest is 100.

The 6 most intense peaks (15 to 90 degrees two-theta), by angle:
2θ = 26.5°, intensity 50.5, hkl 0 0 4
2θ = 30.5°, intensity 37.9, hkl 1 0 1
2θ = 32.6°, intensity 100.0, hkl 1 0 2
2θ = 35.9°, intensity 50.7, hkl 1 0 3
2θ = 50.7°, intensity 36.0, hkl 1 0 6
2θ = 52.7°, intensity 31.5, hkl 1 1 0

Cell and atoms:
Cell lengths 3.4728, 3.4728, 13.4790 Å; angles 90.00, 90.00, 120.00 degrees
Space group P6_3/mmc (No. 194)
Inequivalent atoms, fractional coordinates:
Cs 0.3333 0.6667 0.2500 (multiplicity 2)
In 0.0000 0.0000 0.0000 (multiplicity 2)
O 0.3333 0.6667 0.5825 (multiplicity 4)

***

(3)
Starting from a DFT-relaxed cell (GGA-PBE, the Materials Project), the X-ray powder pattern of GdAl2Ni was simulated for a wavelength of 1.5418 Å.
Intensities are scaled so that the largest is 100.

The 6 most intense peaks (15 to 90 degrees two-theta), by angle:
2θ = 23.3°, intensity 70.5, hkl 1 0 0
2θ = 26.0°, intensity 53.6, hkl 0 0 2
2θ = 35.2°, intensity 100.0, hkl 1 0 2
2θ = 36.7°, intensity 53.6, hkl 1 -2 1
2θ = 36.8°, intensity 52.9, hkl -1 2 1
2θ = 37.7°, intensity 30.9, hkl 0 2 -1

Cell and atoms:
Cell lengths 4.114, 5.480, 6.856 Å; angles 90.30, 90.01, 111.96 degrees
Space group P1 (No. 1)
Inequivalent atoms, fractional coordinates:
Gd 0.000 0.000 0.000 (multiplicity 1)
Gd 0.125 0.253 0.501 (multiplicity 1)
Al 0.405 0.811 0.306 (multiplicity 1)
Al 0.408 0.815 0.695 (multiplicity 1)
Al 0.719 0.437 0.806 (multiplicity 1)
Al 0.720 0.440 0.195 (multiplicity 1)
Ni 0.276 0.553 0.999 (multiplicity 1)
Ni 0.849 0.699 0.501 (multiplicity 1)

***

(4)
Starting from a DFT-relaxed cell (GGA-PBE, the Materials Project), the X-ray powder pattern of LaNb2CuBrO7 was simulated for a wavelength of 1.5418 Å.
Intensities are scaled so that the largest is 100.

The 6 most intense peaks (15 to 90 degrees two-theta), by angle:
2θ = 27.2°, intensity 76.4, hkl 1 0 2
2θ = 32.1°, intensity 100.0, hkl 1 1 0
2θ = 44.7°, intensity 29.1, hkl 1 1 4
2θ = 46.0°, intensity 37.1, hkl 2 0 0
2θ = 57.2°, intensity 31.4, hkl 1 1 6
2θ = 67.1°, intensity 26.8, hkl 2 2 0

Cell and atoms:
Cell lengths 3.947, 3.947, 11.815 Å; angles 90.00, 90.00, 90.00 degrees
Space group P4/mmm (No. 123)
Inequivalent atoms, fractional coordinates:
La 0.000 0.000 0.000 (multiplicity 1)
Nb 0.500 0.500 0.191 (multiplicity 2)
Cu 0.500 0.500 0.500 (multiplicity 1)
Br 0.000 0.000 0.500 (multiplicity 1)
O 0.000 0.500 0.155 (multiplicity 4)
O 0.500 0.500 0.000 (multiplicity 1)
O 0.500 0.500 0.344 (multiplicity 2)

***

(5)
Starting from a DFT-relaxed cell (GGA-PBE, the Materials Project), the X-ray powder pattern of K2NaBiI6 was simulated for a wavelength of 1.5418 Å.
Intensities are scaled so that the largest is 100.

The 6 most intense peaks (15 to 90 degrees two-theta), by angle:
2θ = 24.9°, intensity 63.3, hkl 2 2 2
2θ = 28.8°, intensity 100.0, hkl 4 0 0
2θ = 32.3°, intensity 41.6, hkl 4 2 0
2θ = 41.2°, intensity 75.0, hkl 4 4 0
2θ = 48.7°, intensity 28.4, hkl 6 2 2
2θ = 67.6°, intensity 33.9, hkl 8 4 0

Cell and atoms:
Cell lengths 12.398, 12.398, 12.398 Å; angles 90.00, 90.00, 90.00 degrees
Space group Fm-3m (No. 225)
Inequivalent atoms, fractional coordinates:
K 0.250 0.250 0.250 (multiplicity 8)
Na 0.000 0.000 0.000 (multiplicity 4)
Bi 0.000 0.000 0.500 (multiplicity 4)
I 0.000 0.000 0.252 (multiplicity 24)

***

(6)
Starting from a DFT-relaxed cell (GGA-PBE, the Materials Project), the X-ray powder pattern of BaO2 was simulated for a wavelength of 1.5418 Å.
Intensities are scaled so that the largest is 100.

The 6 most intense peaks (15 to 90 degrees two-theta), by angle:
2θ = 26.8°, intensity 100.0, hkl 1 1 1
2θ = 27.0°, intensity 98.4, hkl 1 1 -3
2θ = 28.0°, intensity 95.7, hkl 1 2 -1
2θ = 30.7°, intensity 71.0, hkl 2 0 -2
2θ = 37.9°, intensity 84.6, hkl 0 0 4
2θ = 40.2°, intensity 75.4, hkl 0 3 2

Cell and atoms:
Cell lengths 5.819, 7.632, 11.079 Å; angles 90.00, 121.08, 90.00 degrees
Space group P2_1/c (No. 14)
Inequivalent atoms, fractional coordinates:
Ba 0.114 0.057 0.363 (multiplicity 4)
Ba 0.364 0.609 0.614 (multiplicity 4)
O 0.135 0.099 0.886 (multiplicity 4)
O 0.159 0.241 0.611 (multiplicity 4)
O 0.370 0.524 0.130 (multiplicity 4)
O 0.442 0.729 0.892 (multiplicity 4)

***

(7)
Starting from a DFT-relaxed cell (GGA-PBE, the Materials Project), the X-ray powder pattern of NpSeO was simulated for a wavelength of 1.5418 Å.
Intensities are scaled so that the largest is 100.

The 6 most intense peaks (15 to 90 degrees two-theta), by angle:
2θ = 26.3°, intensity 69.1, hkl 1 0 1
2θ = 32.6°, intensity 76.5, hkl 1 1 0
2θ = 34.6°, intensity 100.0, hkl 1 0 2
2θ = 41.9°, intensity 26.2, hkl 1 1 2
2θ = 46.8°, intensity 34.9, hkl 2 0 0
2θ = 59.5°, intensity 42.6, hkl 2 1 2

Cell and atoms:
Cell lengths 3.881, 3.881, 6.983 Å; angles 90.00, 90.00, 90.00 degrees
Space group P4/nmm (No. 129, origin choice 2)
Inequivalent atoms, fractional coordinates:
Np 0.250 0.250 0.181 (multiplicity 2)
Se 0.250 0.250 0.630 (multiplicity 2)
O 0.250 0.750 0.000 (multiplicity 2)